No. 1
The following is a computed powder diffractogram of Tb2CeY12. It was derived from a GGA-PBE-relaxed structure, using Cu Kα, 1.54184 Å.

Largest 8 diffraction maxima, in order of rising 2θ, 10 to 90 degrees two-theta:
Position (°2θ)	I_rel	(hkl)
24.13	33	1 1 4
28.61	64	2 0 2
29.71	55	2 0 3
31.22	83	2 0 4
31.74	100	1 1 7
32.87	55	2 1 3
39.56	47	2 2 0
55.87	39	3 1 9

Atomic structure:
a b c (Å): 6.443 6.443 25.123
angles (deg): 90.00 90.00 90.00
Space group P4/nbm (No. 125, origin choice 2)
Inequivalent atoms, fractional coordinates:
Tb (0.250, 0.750, 0.225) [4 per cell]
Ce (0.250, 0.750, 0.500) [2 per cell]
Y (0.067, 0.567, 0.385) [8 per cell]
Y (0.081, 0.581, 0.061) [8 per cell]
Y (0.250, 0.250, 0.161) [4 per cell]
Y (0.250, 0.250, 0.285) [4 per cell]

No. 2
The following is a computed powder diffractogram of Tb2CeY. It was derived from a GGA-PBE-relaxed structure, using Cu Kα, 1.54184 Å.

Largest 8 diffraction maxima, in order of rising 2θ, 10 to 90 degrees two-theta:
Position (°2θ)	I_rel	(hkl)
30.93	100	1 0 4
35.86	50	0 1 8
51.56	18	1 0 16
51.68	18	1 1 0
61.31	10	0 1 20
61.43	31	0 2 4
64.50	9	2 0 8
84.38	9	2 1 4

Atomic structure:
a b c (Å): 3.5378 3.5378 34.7697
angles (deg): 90.00 90.00 120.00
Space group R-3m (No. 166, hexagonal axes)
Inequivalent atoms, fractional coordinates:
Tb (0.0000, 0.0000, 0.2489) [6 per cell]
Ce (0.0000, 0.0000, 0.5000) [3 per cell]
Y (0.0000, 0.0000, 0.0000) [3 per cell]

No. 3
The following is a computed powder diffractogram of Tb10CeY4. It was derived from a GGA-PBE-relaxed structure, using Cu Kα, 1.54184 Å.

Largest 8 diffraction maxima, in order of rising 2θ, 10 to 90 degrees two-theta:
Position (°2θ)	I_rel	(hkl)
26.90	74	1 0 3
28.91	57	3 0 1
29.15	100	3 1 0
32.74	67	2 1 3
33.81	70	3 1 2
41.70	36	2 4 0
42.29	36	2 3 3
45.26	36	2 4 2

Atomic structure:
a b c (Å): 9.687 9.687 10.580
angles (deg): 90.00 90.00 90.00
Space group I4/m (No. 87)
Inequivalent atoms, fractional coordinates:
Tb (0.000, 0.500, 0.250) [4 per cell]
Tb (0.114, 0.213, 0.158) [16 per cell]
Ce (0.000, 0.000, 0.500) [2 per cell]
Y (0.064, 0.331, 0.500) [8 per cell]

No. 4
The following is a computed powder diffractogram of TbCeY. It was derived from a GGA-PBE-relaxed structure, using Cu Kα, 1.54184 Å.

Largest 8 diffraction maxima, in order of rising 2θ, 10 to 90 degrees two-theta:
Position (°2θ)	I_rel	(hkl)
30.92	80	1 1 -1
31.46	100	0 1 3
33.28	44	0 2 0
34.08	34	1 0 2
40.74	17	1 0 -4
48.38	27	1 2 2
58.34	17	0 3 3
62.59	31	2 1 2

Atomic structure:
a b c (Å): 3.480 5.384 10.197
angles (deg): 90.00 99.82 90.00
Space group P2_1/m (No. 11)
Inequivalent atoms, fractional coordinates:
Tb (0.042, 0.250, 0.084) [2 per cell]
Ce (0.208, 0.250, 0.417) [2 per cell]
Y (0.382, 0.250, 0.763) [2 per cell]

No. 5
The following is a computed powder diffractogram of Tb4CeZn5. It was derived from a GGA-PBE-relaxed structure, using Cu Kα, 1.54184 Å.

Largest 8 diffraction maxima, in order of rising 2θ, 10 to 90 degrees two-theta:
Position (°2θ)	I_rel	(hkl)
24.86	16	1 0 0
35.33	100	1 0 5
35.44	50	1 1 0
51.00	18	2 0 0
63.34	18	1 1 10
63.56	35	2 1 5
74.73	11	2 0 10
85.76	15	3 1 0

Atomic structure:
a b c (Å): 3.582 3.582 18.022
angles (deg): 90.00 90.00 90.00
Space group P4/mmm (No. 123)
Inequivalent atoms, fractional coordinates:
Tb (0.000, 0.000, 0.099) [2 per cell]
Tb (0.000, 0.000, 0.297) [2 per cell]
Ce (0.000, 0.000, 0.500) [1 per cell]
Zn (0.500, 0.500, 0.000) [1 per cell]
Zn (0.500, 0.500, 0.199) [2 per cell]
Zn (0.500, 0.500, 0.395) [2 per cell]

No. 6
The following is a computed powder diffractogram of CeTc6. It was derived from a GGA-PBE-relaxed structure, using Cu Kα, 1.54184 Å.

Largest 8 diffraction maxima, in order of rising 2θ, 10 to 90 degrees two-theta:
Position (°2θ)	I_rel	(hkl)
34.89	58	1 0 4
37.01	100	3 1 1
38.79	19	0 2 2
41.83	24	2 2 1
43.12	20	4 0 1
43.40	20	2 1 4
44.59	23	1 2 3
63.96	21	3 3 1

Atomic structure:
a b c (Å): 8.556 5.144 10.785
angles (deg): 90.00 90.00 90.00
Space group Pnma (No. 62)
Inequivalent atoms, fractional coordinates:
Ce (0.231, 0.250, 0.052) [4 per cell]
Tc (0.065, 0.009, 0.304) [8 per cell]
Tc (0.078, 0.750, 0.072) [4 per cell]
Tc (0.084, 0.250, 0.524) [4 per cell]
Tc (0.146, 0.750, 0.847) [4 per cell]
Tc (0.190, 0.250, 0.758) [4 per cell]

No. 7
The following is a computed powder diffractogram of Ce2Tc3. It was derived from a GGA-PBE-relaxed structure, using Cu Kα, 1.54184 Å.

Largest 8 diffraction maxima, in order of rising 2θ, 10 to 90 degrees two-theta:
Position (°2θ)	I_rel	(hkl)
31.21	54	1 1 2
33.17	100	1 3 1
37.39	76	2 2 1
37.88	19	0 4 1
39.98	44	2 0 2
43.15	42	0 2 3
55.33	23	3 3 1
63.39	20	2 6 0

Atomic structure:
a b c (Å): 5.954 10.117 6.910
angles (deg): 90.00 90.00 90.00
Space group Cmce (No. 64)
Inequivalent atoms, fractional coordinates:
Ce (0.000, 0.162, 0.098) [8 per cell]
Tc (0.000, 0.000, 0.500) [4 per cell]
Tc (0.250, 0.101, 0.750) [8 per cell]

No. 8
The following is a computed powder diffractogram of Ce4Th3Tc4. It was derived from a GGA-PBE-relaxed structure, using Cu Kα, 1.54184 Å.

Largest 8 diffraction maxima, in order of rising 2θ, 10 to 90 degrees two-theta:
Position (°2θ)	I_rel	(hkl)
31.02	100	1 2 1
31.91	34	0 1 5
33.21	33	0 3 3
35.73	64	1 1 4
37.03	20	0 4 0
49.34	18	2 0 0
53.12	13	1 3 6
59.39	23	1 5 4

Atomic structure:
a b c (Å): 3.694 9.711 14.648
angles (deg): 90.00 90.00 90.00
Space group Immm (No. 71)
Inequivalent atoms, fractional coordinates:
Ce (0.000, 0.195, 0.165) [8 per cell]
Th (0.000, 0.000, 0.390) [4 per cell]
Th (0.000, 0.500, 0.500) [2 per cell]
Tc (0.000, 0.275, 0.000) [4 per cell]
Tc (0.000, 0.500, 0.280) [4 per cell]

Number 3 is which compound? Tb10CeY4